1.
Calculated X-ray powder pattern of SrMgB2O5 for λ = 1.5418 Å (Cu Kα), from a structure optimized by DFT (GGA-PBE).

Top 10 peaks for 10° ≤ 2θ ≤ 90°, in order of falling intensity:
hkl, Position (°2θ), I (rel.)
2 1 1, 34.6, 1000
2 2 -1, 43.4, 933
2 1 0, 32.4, 905
2 1 -1, 31.8, 816
2 0 0, 27.7, 786
0 2 1, 34.2, 772
0 1 3, 28.0, 735
1 0 -6, 45.0, 701
1 2 3, 44.7, 620
0 0 2, 15.0, 587

Atomic structure:
```
data_SrMgB2O5
_chemical_formula_sum 'Sr4 Mg4 B8 O20'
_cell_length_a 6.6074
_cell_length_b 5.3765
_cell_length_c 12.1399
_cell_angle_alpha 90.00
_cell_angle_beta 102.63
_cell_angle_gamma 90.00
_space_group_name_H-M_alt 'P 1 21/c 1'
_space_group_IT_number 14
loop_
_space_group_symop_operation_xyz
'x,y,z'
'-x,-y,-z'
'-x,y+1/2,-z+1/2'
'x,-y+1/2,z+1/2'
loop_
_atom_site_label
_atom_site_type_symbol
_atom_site_fract_x
_atom_site_fract_y
_atom_site_fract_z
Sr1 Sr 0.1835 0.1096 0.1899
Mg1 Mg 0.3467 0.5855 0.3942
B1 B 0.1839 0.0907 0.4323
B2 B 0.3557 0.6333 0.1170
O1 O 0.1298 0.1811 0.8846
O2 O 0.1529 0.6215 0.8690
O3 O 0.2827 0.0812 0.5491
O4 O 0.3769 0.6026 0.2298
O5 O 0.3983 0.6494 0.5666
```



2.
Calculated X-ray powder pattern of GdWC2 for λ = 1.5418 Å (Cu Kα), from a structure optimized by DFT (GGA-PBE).

Top 10 peaks for 10° ≤ 2θ ≤ 90°, in order of falling intensity:
hkl, Position (°2θ), I (rel.)
1 1 2, 34.7, 1000
0 0 4, 33.0, 319
2 0 1, 32.2, 312
1 1 1, 31.5, 227
2 0 3, 40.0, 224
3 1 1, 55.5, 201
1 1 6, 60.1, 165
1 1 3, 39.5, 140
0 2 0, 53.6, 122
3 1 3, 61.0, 113

Atomic structure:
```
data_GdWC2
_chemical_formula_sum 'Gd4 W4 C8'
_cell_length_a 5.7599
_cell_length_b 3.4215
_cell_length_c 10.8474
_cell_angle_alpha 90.00
_cell_angle_beta 90.00
_cell_angle_gamma 90.00
_space_group_name_H-M_alt 'P n m a'
_space_group_IT_number 62
loop_
_space_group_symop_operation_xyz
'x,y,z'
'-x,-y,-z'
'-x+1/2,-y,z+1/2'
'x+1/2,y,-z+1/2'
'x+1/2,-y+1/2,-z+1/2'
'-x+1/2,y+1/2,z+1/2'
'-x,y+1/2,-z'
'x,-y+1/2,z'
loop_
_atom_site_label
_atom_site_type_symbol
_atom_site_fract_x
_atom_site_fract_y
_atom_site_fract_z
Gd1 Gd 0.0845 0.2500 0.1371
W1 W 0.0932 0.7500 0.3897
C1 C 0.1612 0.2500 0.7525
C2 C 0.2179 0.2500 0.4818
```



3.
Calculated X-ray powder pattern of CeSe2 for λ = 1.5418 Å (Cu Kα), from a structure optimized by DFT (GGA-PBE).

Top 10 peaks for 10° ≤ 2θ ≤ 90°, in order of falling intensity:
hkl, Position (°2θ), I (rel.)
1 2 1, 36.8, 1000
0 1 1, 22.4, 412
1 1 0, 22.2, 385
2 0 0, 36.5, 257
0 4 2, 66.5, 256
0 0 2, 37.0, 245
1 3 0, 43.5, 205
3 2 1, 65.9, 179
2 0 2, 52.9, 173
2 1 1, 43.2, 145

Atomic structure:
```
data_CeSe2
_chemical_formula_sum 'Ce2 Se4'
_cell_length_a 4.9239
_cell_length_b 6.8926
_cell_length_c 4.8608
_cell_angle_alpha 90.00
_cell_angle_beta 90.00
_cell_angle_gamma 90.00
_space_group_name_H-M_alt 'P m m n'
_space_group_IT_number 59
loop_
_space_group_symop_operation_xyz
'x,y,z'
'-x,-y,-z'
'-x+1/2,-y+1/2,z'
'x+1/2,y+1/2,-z'
'x+1/2,-y,-z'
'-x+1/2,y,z'
'-x,y+1/2,-z'
'x,-y+1/2,z'
loop_
_atom_site_label
_atom_site_type_symbol
_atom_site_fract_x
_atom_site_fract_y
_atom_site_fract_z
Ce1 Ce 0.2500 0.2500 0.2381
Se1 Se 0.2500 0.5033 0.7519
```



4.
Calculated X-ray powder pattern of HfAlPt for λ = 1.5418 Å (Cu Kα), from a structure optimized by DFT (GGA-PBE).

Top 10 peaks for 10° ≤ 2θ ≤ 90°, in order of falling intensity:
hkl, Position (°2θ), I (rel.)
2 0 2, 38.3, 1000
1 1 2, 35.3, 783
1 1 0, 25.2, 603
3 0 0, 44.4, 502
2 1 2, 46.4, 400
3 2 2, 72.0, 297
1 0 2, 28.4, 242
3 0 4, 68.8, 213
0 0 4, 49.7, 194
2 1 0, 38.9, 171

Atomic structure:
```
data_HfAlPt
_chemical_formula_sum 'Hf6 Al6 Pt6'
_cell_length_a 7.0700
_cell_length_b 7.0700
_cell_length_c 7.3331
_cell_angle_alpha 90.00
_cell_angle_beta 90.00
_cell_angle_gamma 120.00
_space_group_name_H-M_alt 'P -6 2 c'
_space_group_IT_number 190
_space_group_name_Hall 'P -6c -2c'
loop_
_atom_site_label
_atom_site_type_symbol
_atom_site_fract_x
_atom_site_fract_y
_atom_site_fract_z
Hf1 Hf 0.0223 0.6069 0.2500
Al1 Al 0.0000 0.2577 0.0000
Pt1 Pt 0.0000 0.0000 0.2500
Pt2 Pt 0.3333 0.6667 0.5299
```



5.
Calculated X-ray powder pattern of LuH2 for λ = 1.5418 Å (Cu Kα), from a structure optimized by DFT (GGA-PBE).

Top 8 peaks for 10° ≤ 2θ ≤ 90°, in order of falling intensity:
hkl, Position (°2θ), I (rel.)
1 1 1, 30.8, 1000
2 0 0, 35.8, 491
3 1 1, 61.2, 433
2 2 0, 51.5, 371
3 3 1, 84.0, 181
4 2 0, 86.7, 168
2 2 2, 64.3, 123
4 0 0, 75.8, 59

Atomic structure:
```
data_LuH2
_chemical_formula_sum 'Lu4 H8'
_cell_length_a 5.0217
_cell_length_b 5.0217
_cell_length_c 5.0217
_cell_angle_alpha 90.00
_cell_angle_beta 90.00
_cell_angle_gamma 90.00
_space_group_name_H-M_alt 'F m -3 m'
_space_group_IT_number 225
_space_group_name_Hall '-F 4 2 3'
loop_
_atom_site_label
_atom_site_type_symbol
_atom_site_fract_x
_atom_site_fract_y
_atom_site_fract_z
Lu1 Lu 0.0000 0.0000 0.0000
H1 H 0.2500 0.2500 0.2500
```